No. 1
This entry pairs a crystal structure of SrAc2Au3 with its computed powder X-ray diffraction pattern. Radiation: Cu Kα (λ = 1.5418 Å). Structure: a DFT-relaxed cell (GGA-PBE, Alexandria).

Most intense lines, 2θ = 10–80°, low angle first:
| d [Å] | 2θ (°) | Rel. int. |
| --- | --- | --- |
| 5.259 | 16.86 | 145 |
| 4.294 | 20.68 | 214 |
| 3.037 | 29.41 | 157 |
| 2.863 | 31.24 | 223 |
| 2.630 | 34.09 | 1000 |
| 2.352 | 38.27 | 108 |
| 1.937 | 46.91 | 183 |
| 1.860 | 48.99 | 137 |
| 1.518 | 61.03 | 241 |
| 1.438 | 64.83 | 144 |

```
SrAc2Au3
1.0
0.000 7.438 7.438
7.438 0.000 7.438
7.438 7.438 0.000
Sr Ac Au
4 8 12
Direct
0.000 0.000 0.000 Sr
0.000 0.000 0.500 Sr
0.000 0.500 0.000 Sr
0.500 0.000 0.000 Sr
0.272 0.272 0.272 Ac
0.272 0.272 0.684 Ac
0.272 0.684 0.272 Ac
0.316 0.728 0.728 Ac
0.684 0.272 0.272 Ac
0.728 0.316 0.728 Ac
0.728 0.728 0.316 Ac
0.728 0.728 0.728 Ac
0.114 0.114 0.636 Au
0.114 0.636 0.114 Au
0.114 0.636 0.636 Au
0.364 0.364 0.886 Au
0.364 0.886 0.364 Au
0.364 0.886 0.886 Au
0.636 0.114 0.114 Au
0.636 0.114 0.636 Au
0.636 0.636 0.114 Au
0.886 0.364 0.364 Au
0.886 0.364 0.886 Au
0.886 0.886 0.364 Au
```

***

No. 2
This entry pairs a crystal structure of SrAcAu3 with its computed powder X-ray diffraction pattern. Radiation: Cu Kα (λ = 1.5418 Å). Structure: a DFT-relaxed cell (GGA-PBE, Alexandria).

Most intense lines, 2θ = 10–80°, low angle first:
| d [Å] | 2θ (°) | Rel. int. |
| --- | --- | --- |
| 4.005 | 22.19 | 153 |
| 2.949 | 30.31 | 1000 |
| 2.883 | 31.01 | 457 |
| 2.729 | 32.82 | 253 |
| 2.472 | 36.34 | 824 |
| 2.411 | 37.29 | 394 |
| 2.023 | 44.81 | 254 |
| 1.850 | 49.26 | 254 |
| 1.565 | 59.01 | 357 |
| 1.549 | 59.67 | 204 |

```
SrAcAu3
1.0
2.022 -14.393 0.000
2.022 14.393 0.000
0.000 0.000 4.822
Sr Ac Au
2 2 6
Direct
0.205 0.795 0.750 Sr
0.795 0.205 0.250 Sr
0.072 0.928 0.250 Ac
0.928 0.072 0.750 Ac
0.323 0.677 0.750 Au
0.380 0.620 0.250 Au
0.477 0.523 0.250 Au
0.523 0.477 0.750 Au
0.620 0.380 0.750 Au
0.677 0.323 0.250 Au
```

***

No. 3
This entry pairs a crystal structure of SrAcTlAu with its computed powder X-ray diffraction pattern. Radiation: Cu Kα (λ = 1.5418 Å). Structure: a DFT-relaxed cell (GGA-PBE, Alexandria).

Most intense lines, 2θ = 10–80°, low angle first:
| d [Å] | 2θ (°) | Rel. int. |
| --- | --- | --- |
| 8.240 | 10.74 | 128 |
| 2.852 | 31.37 | 1000 |
| 2.794 | 32.04 | 490 |
| 2.060 | 43.95 | 90 |
| 1.975 | 45.94 | 184 |
| 1.658 | 55.42 | 184 |
| 1.624 | 56.68 | 383 |
| 1.426 | 65.46 | 112 |
| 1.254 | 75.84 | 83 |
| 1.249 | 76.20 | 85 |

```
SrAcTlAu
1.0
3.951 0.000 0.000
0.000 3.951 0.000
0.000 0.000 8.240
Sr Ac Tl Au
1 1 1 1
Direct
0.000 0.000 0.000 Sr
0.000 0.000 0.462 Ac
0.500 0.500 0.734 Tl
0.500 0.500 0.246 Au
```